Li4SnPb: simulated PXRD pattern (Cu Kα (λ = 1.5418 Å)), based on a DFT-relaxed cell (PBE, Alexandria).

Structure:
Cell: 4.9456 6.2405 8.2134 Å, 90.00 96.88 90.00°
Element x y z (fractional)
Li: 0.0000 0.0000 0.0000
Li: 0.0000 0.5000 0.0000
Li: 0.2761 0.0025 0.6041
Li: 0.2761 0.4975 0.6041
Li: 0.4431 0.2500 0.9312
Li: 0.5569 0.7500 0.0688
Li: 0.7239 0.5025 0.3959
Li: 0.7239 0.9975 0.3959
Sn: 0.1681 0.7500 0.2893
Sn: 0.8319 0.2500 0.7107
Pb: 0.2308 0.2500 0.2713
Pb: 0.7692 0.7500 0.7287

Main lines, most intense first (10° ≤ 2θ ≤ 90°):
2theta  intensity  hkl
20.0  100  1 0 -1
22.2  96  1 0 1
21.8  88  0 0 2
36.5  85  1 2 1
36.3  56  0 2 2
28.6  53  0 2 0
35.1  50  1 2 -1
39.8  35  1 0 3
49.7  22  1 2 3
17.9  21  0 1 1
39.5  20  1 2 -2
26.7  18  1 0 -2